The following is a calculated X-ray powder pattern of TaReTc4. It was derived from a structure optimized by DFT (GGA-PBE), using λ = 1.5418 Å (Cu Kα).
Kinematic intensities with the Lorentz-polarization factor, no thermal factor.

The 10 most intense peaks (10 to 90 degrees two-theta), by intensity:
- d = 2.173 Å, 2θ 41.57, intensity 100, (3 1 1)
- d = 2.548 Å, 2θ 35.23, intensity 50, (2 2 0)
- d = 1.387 Å, 2θ 67.55, intensity 31, (5 1 1)
- d = 1.274 Å, 2θ 74.49, intensity 25, (4 4 0)
- d = 2.080 Å, 2θ 43.51, intensity 22, (2 2 2)
- d = 1.471 Å, 2θ 63.22, intensity 19, (4 2 2)
- d = 1.099 Å, 2θ 89.11, intensity 12, (5 3 3)
- d = 1.139 Å, 2θ 85.17, intensity 8, (6 2 0)
- d = 4.160 Å, 2θ 21.36, intensity 2, (1 1 1)
- d = 1.653 Å, 2θ 55.60, intensity 1, (3 3 1)

Structure:
Lattice parameters (Å, degrees): 7.206 7.206 7.206 90.00 90.00 90.00
Space group F-43m (No. 216)
One atom of each set of equivalent atoms:
1 Ta 0.000 0.000 0.000 [4 per cell]
2 Re 0.250 0.250 0.250 [4 per cell]
3 Tc 0.126 0.126 0.626 [16 per cell]